The following is a theoretical powder diffractogram of Ba10Ti8NbNiO30. It was derived from the GGA+U geometry in Alexandria, using Cu Kα X-rays.

Main lines, by angle (2θ from 10° to 90°):
| two_theta | I/Imax |
| --- | --- |
| 22.06 | 14 |
| 30.94 | 100 |
| 31.39 | 48 |
| 38.32 | 32 |
| 43.64 | 18 |
| 44.99 | 33 |
| 54.74 | 19 |
| 55.60 | 38 |
| 64.48 | 20 |
| 89.30 | 10 |

Crystal structure
```
50
Lattice="-2.850 2.850 20.739 2.850 -2.850 20.739 2.850 2.850 -20.739" Properties=species:S:1:pos:R:3 pbc="T T T"
Ba 2.850 0.000 2.071
Ba 2.850 0.000 6.219
Ba 2.850 0.000 10.370
Ba 2.850 0.000 14.521
Ba 2.850 0.000 18.669
Ba 0.000 2.850 2.071
Ba 0.000 2.850 6.219
Ba 0.000 2.850 10.370
Ba 0.000 2.850 14.521
Ba 0.000 2.850 18.669
Ti 0.000 0.000 4.020
Ti 0.000 0.000 8.164
Ti 0.000 0.000 12.319
Ti 0.000 0.000 16.484
Ti 0.000 0.000 24.994
Ti 0.000 0.000 29.160
Ti 0.000 0.000 33.315
Ti 0.000 0.000 37.459
Nb 0.000 0.000 20.739
Ni 0.000 0.000 0.000
O 1.424 1.424 -8.304
O 1.426 -1.426 12.436
O 0.000 0.000 2.205
O 1.422 1.422 -4.173
O 1.428 -1.428 16.566
O 0.000 0.000 6.334
O 0.000 0.000 10.471
O 1.437 1.437 0.000
O 1.413 -1.413 20.739
O 1.422 1.422 4.173
O 1.428 -1.428 24.913
O 0.000 0.000 14.600
O 0.000 0.000 18.666
O 1.424 1.424 8.304
O 1.426 -1.426 29.043
O -1.426 1.426 12.436
O 0.000 0.000 22.813
O 1.426 1.426 12.436
O 0.000 0.000 26.878
O -1.428 1.428 16.566
O 1.428 1.428 16.566
O -1.413 1.413 20.739
O 0.000 0.000 31.008
O 1.413 1.413 20.739
O 0.000 0.000 35.145
O -1.428 1.428 24.913
O 1.428 1.428 24.913
O 0.000 0.000 39.273
O -1.426 1.426 29.043
O 1.426 1.426 29.043
```